# RbNiTe
Theoretical XRD peak list, CuKα. Input: the GGA-PBE geometry in Alexandria.
Neutral-atom scattering factors, no anomalous dispersion.

abc: 4.3067 4.3067 5.6647
angles: 90.00 90.00 120.00
Element x y z (fractional)
Rb: 0.0000 0.0000 0.0000
Ni: 0.6667 0.3333 0.5000
Te: 0.3333 0.6667 0.5000

Principal peaks in the range 15 to 90 degrees two-theta, by angle:
2theta	d_spacing	intensity
15.64	5.665	21
28.66	3.115	100
31.59	2.832	28
41.96	2.153	38
51.60	1.771	19
53.45	1.714	36